# Li7Mn12Cu5O32
Computed powder diffraction line list, λ = 1.5418 Å (Cu Kα). Input: the GGA+U geometry in Alexandria.
Intensities are scaled so that the largest is 100.

Structure:
a b c (Å): 8.3031 8.3031 8.3031
angles (deg): 89.89 89.89 89.89
Fractional positions:
1 Li 0.0000 0.0000 0.0000
2 Li 0.1245 0.6296 0.1287
3 Li 0.1287 0.1245 0.6296
4 Li 0.2489 0.7548 0.4983
5 Li 0.4983 0.2489 0.7548
6 Li 0.6296 0.1287 0.1245
7 Li 0.7548 0.4983 0.2489
8 Mn 0.9998 0.7528 0.7520
9 Mn 0.0012 0.5006 0.5001
10 Mn 0.0016 0.2538 0.2550
11 Mn 0.2507 0.4997 0.7531
12 Mn 0.2538 0.2550 0.0016
13 Mn 0.2550 0.0016 0.2538
14 Mn 0.5001 0.0012 0.5006
15 Mn 0.4997 0.7531 0.2507
16 Mn 0.5006 0.5001 0.0012
17 Mn 0.7520 0.9998 0.7528
18 Mn 0.7531 0.2507 0.4997
19 Mn 0.7528 0.7520 0.9998
20 Cu 0.3682 0.8824 0.8703
21 Cu 0.3828 0.3828 0.3828
22 Cu 0.6199 0.6199 0.6199
23 Cu 0.8703 0.3682 0.8824
24 Cu 0.8824 0.8703 0.3682
25 O 0.0002 0.7309 0.5159
26 O 0.0032 0.4838 0.2744
27 O 0.0122 0.5127 0.7399
28 O 0.0180 0.2549 0.0248
29 O 0.0248 0.0180 0.2549
30 O 0.2305 0.7357 0.7519
31 O 0.2355 0.4998 0.5224
32 O 0.2412 0.2412 0.2412
33 O 0.2496 0.2706 0.7748
34 O 0.2549 0.0248 0.0180
35 O 0.2645 0.4914 0.9892
36 O 0.2706 0.7748 0.2496
37 O 0.2744 0.0032 0.4838
38 O 0.4817 0.5033 0.7665
39 O 0.4838 0.2744 0.0032
40 O 0.4914 0.9892 0.2645
41 O 0.4998 0.5224 0.2355
42 O 0.5033 0.7665 0.4817
43 O 0.5127 0.7399 0.0122
44 O 0.5159 0.0002 0.7309
45 O 0.5224 0.2355 0.4998
46 O 0.7309 0.5159 0.0002
47 O 0.7357 0.7519 0.2305
48 O 0.7399 0.0122 0.5127
49 O 0.7490 0.9814 0.9785
50 O 0.7519 0.2305 0.7357
51 O 0.7604 0.7604 0.7604
52 O 0.7665 0.4817 0.5033
53 O 0.7748 0.2496 0.2706
54 O 0.9785 0.7490 0.9814
55 O 0.9814 0.9785 0.7490
56 O 0.9892 0.2645 0.4914

Peak list (10 most intense, 5 to 70 degrees two-theta, in order of rising 2θ)
2θ (°), I_rel
15.1, 19
18.5, 22
24.0, 29
26.3, 12
30.5, 30
35.9, 100
43.6, 25
57.7, 29
63.3, 24
63.4, 24